# 1
Computed powder X-ray diffraction pattern of CeBPd3 for CuKα, from a DFT-relaxed cell (GGA-PBE, the Materials Project).

Structural model:
Cell lengths 4.381, 4.381, 4.381 Å; angles 90.00, 90.00, 90.00 degrees
Space group Pm-3m (No. 221)
One atom of each set of equivalent atoms:
Ce 0.000 0.000 0.000
B 0.500 0.500 0.500
Pd 0.000 0.500 0.500

Main lines, by intensity (2θ from 10° to 90°):
- hkl 1 1 1, 2θ = 35.49°, rel. 100
- hkl 2 0 0, 2θ = 41.21°, rel. 53
- hkl 3 1 1, 2θ = 71.41°, rel. 38
- hkl 2 2 0, 2θ = 59.70°, rel. 35
- hkl 2 2 2, 2θ = 75.12°, rel. 12
- hkl 4 0 0, 2θ = 89.47°, rel. 6
- hkl 1 1 0, 2θ = 28.82°, rel. 2
- hkl 2 1 1, 2θ = 51.07°, rel. 1



# 2
Computed powder X-ray diffraction pattern of NpMn2 for CuKα, from a DFT-relaxed cell (GGA-PBE, the Materials Project).

Structural model:
Cell lengths 6.947, 6.947, 6.947 Å; angles 90.00, 90.00, 90.00 degrees
Space group Fd-3m (No. 227, origin choice 2)
One atom of each set of equivalent atoms:
Np 0.125 0.125 0.125
Mn 0.000 0.000 0.500

Main lines, by intensity (2θ from 10° to 90°):
- hkl 3 1 1, 2θ = 43.19°, rel. 100
- hkl 2 2 0, 2θ = 36.58°, rel. 88
- hkl 1 1 1, 2θ = 22.16°, rel. 42
- hkl 4 2 2, 2θ = 65.86°, rel. 33
- hkl 5 1 1, 2θ = 70.43°, rel. 31
- hkl 4 4 0, 2θ = 77.77°, rel. 21
- hkl 6 2 0, 2θ = 89.15°, rel. 16
- hkl 3 3 1, 2θ = 57.85°, rel. 11



# 3
Computed powder X-ray diffraction pattern of K3Na for CuKα, from a DFT-relaxed cell (GGA-PBE, the Materials Project).

Structural model:
Cell lengths 6.305, 6.305, 6.305 Å; angles 90.00, 90.00, 90.00 degrees
Space group Pm-3m (No. 221)
One atom of each set of equivalent atoms:
K 0.000 0.000 0.500
Na 0.500 0.500 0.500

Main lines, by intensity (2θ from 10° to 90°):
- hkl 1 1 1, 2θ = 24.45°, rel. 100
- hkl 2 0 0, 2θ = 28.31°, rel. 51
- hkl 3 1 1, 2θ = 47.85°, rel. 41
- hkl 2 2 0, 2θ = 40.47°, rel. 35
- hkl 3 3 1, 2θ = 64.41°, rel. 15
- hkl 4 2 0, 2θ = 66.30°, rel. 14
- hkl 2 2 2, 2θ = 50.12°, rel. 12
- hkl 5 1 1, 2θ = 78.89°, rel. 10



# 4
Computed powder X-ray diffraction pattern of HfTe4Cl6 for CuKα, from a DFT-relaxed cell (GGA-PBE, the Materials Project).

Structural model:
Cell lengths 7.341, 7.388, 7.872 Å; angles 76.20, 75.10, 79.21 degrees
Space group P-1 (No. 2)
One atom of each set of equivalent atoms:
Hf 0.000 0.000 0.000
Te 0.310 0.706 0.562
Te 0.391 0.500 0.303
Cl 0.003 0.785 0.296
Cl 0.111 0.238 0.099
Cl 0.336 0.875 0.881

Main lines, by intensity (2θ from 10° to 90°):
- hkl 1 1 0, 2θ = 16.50°, rel. 100
- hkl 0 1 -1, 2θ = 18.90°, rel. 47
- hkl 1 2 2, 2θ = 30.09°, rel. 28
- hkl 1 0 -1, 2θ = 19.19°, rel. 25
- hkl 1 0 1, 2θ = 15.28°, rel. 24
- hkl 1 -2 2, 2θ = 39.86°, rel. 22
- hkl 0 1 1, 2θ = 15.40°, rel. 21
- hkl 2 0 1, 2θ = 25.50°, rel. 20



# 5
Computed powder X-ray diffraction pattern of CaTi2N2 for CuKα, from a DFT-relaxed cell (GGA-PBE, the Materials Project).

Structural model:
Cell lengths 3.241, 3.241, 8.232 Å; angles 90.00, 90.00, 90.00 degrees
Space group P-4m2 (No. 115)
One atom of each set of equivalent atoms:
Ca 0.000 0.000 0.000
Ti 0.500 0.500 0.324
N 0.000 0.500 0.799

Main lines, by intensity (2θ from 10° to 90°):
- hkl 1 0 1, 2θ = 29.62°, rel. 100
- hkl 1 0 2, 2θ = 35.25°, rel. 78
- hkl 1 1 3, 2θ = 51.99°, rel. 54
- hkl 1 1 0, 2θ = 39.31°, rel. 34
- hkl 0 0 3, 2θ = 32.63°, rel. 31
- hkl 2 0 0, 2θ = 56.81°, rel. 22
- hkl 1 0 0, 2θ = 27.52°, rel. 21
- hkl 2 1 2, 2θ = 68.65°, rel. 18



# 6
Computed powder X-ray diffraction pattern of Mn3Co4Ge6 for CuKα, from a DFT-relaxed cell (GGA-PBE, the Materials Project).

Structural model:
Cell lengths 5.092, 8.736, 7.854 Å; angles 90.00, 90.00, 90.00 degrees
Space group Cmm2 (No. 35)
One atom of each set of equivalent atoms:
Mn 0.000 0.000 0.000
Mn 0.250 0.250 0.752
Co 0.000 0.500 0.252
Co 0.000 0.500 0.752
Co 0.250 0.250 0.251
Ge 0.000 0.000 0.332
Ge 0.000 0.000 0.668
Ge 0.000 0.335 0.009
Ge 0.000 0.335 0.494

Main lines, by intensity (2θ from 10° to 90°):
- hkl 2 2 2, 2θ = 47.37°, rel. 100
- hkl 1 3 2, 2θ = 42.53°, rel. 81
- hkl 1 3 0, 2θ = 35.51°, rel. 61
- hkl 0 4 2, 2θ = 47.64°, rel. 51
- hkl 2 2 0, 2θ = 41.03°, rel. 48
- hkl 0 0 4, 2θ = 46.23°, rel. 40
- hkl 1 1 3, 2θ = 40.10°, rel. 39
- hkl 2 6 0, 2θ = 75.16°, rel. 39



# 7
Computed powder X-ray diffraction pattern of Mg6AlW for CuKα, from a DFT-relaxed cell (GGA-PBE, the Materials Project).

Structural model:
Cell lengths 4.823, 6.119, 10.677 Å; angles 90.00, 90.00, 90.00 degrees
Space group Amm2 (No. 38)
One atom of each set of equivalent atoms:
Mg 0.000 0.000 0.000
Mg 0.000 0.238 0.254
Mg 0.500 0.000 0.834
Mg 0.500 0.246 0.586
Al 0.000 0.000 0.479
W 0.500 0.000 0.344

Main lines, by intensity (2θ from 10° to 90°):
- hkl 0 0 2, 2θ = 16.67°, rel. 100
- hkl 1 1 1, 2θ = 24.92°, rel. 64
- hkl 1 2 2, 2θ = 38.72°, rel. 61
- hkl 1 0 4, 2θ = 38.55°, rel. 36
- hkl 0 2 2, 2θ = 33.77°, rel. 26
- hkl 1 0 0, 2θ = 18.39°, rel. 23
- hkl 2 0 0, 2θ = 37.28°, rel. 23
- hkl 2 0 2, 2θ = 41.09°, rel. 21



# 8
Computed powder X-ray diffraction pattern of KGaTe2 for CuKα, from a DFT-relaxed cell (GGA-PBE, the Materials Project).

Structural model:
Cell lengths 7.930, 7.930, 9.718 Å; angles 90.00, 90.00, 90.00 degrees
Space group I-42d (No. 122)
One atom of each set of equivalent atoms:
K 0.000 0.000 0.000
Ga 0.000 0.000 0.500
Te 0.163 0.250 0.625

Main lines, by intensity (2θ from 10° to 90°):
- hkl 1 1 2, 2θ = 24.24°, rel. 100
- hkl 1 0 1, 2θ = 14.42°, rel. 42
- hkl 2 1 1, 2θ = 26.76°, rel. 37
- hkl 2 0 4, 2θ = 43.70°, rel. 30
- hkl 3 2 1, 2θ = 42.12°, rel. 27
- hkl 2 2 0, 2θ = 31.92°, rel. 22
- hkl 2 1 3, 2θ = 37.61°, rel. 21
- hkl 3 1 2, 2θ = 40.48°, rel. 20



# 9
Computed powder X-ray diffraction pattern of Mg2Si for CuKα, from a DFT-relaxed cell (GGA-PBE, the Materials Project).

Structural model:
Cell lengths 2.978, 5.036, 7.743 Å; angles 92.62, 100.95, 90.00 degrees
Space group P-1 (No. 2)
One atom of each set of equivalent atoms:
Mg 0.065 0.255 0.114
Mg 0.269 0.752 0.540
Si 0.384 0.243 0.777

Main lines, by intensity (2θ from 10° to 90°):
- hkl 1 -1 1, 2θ = 39.02°, rel. 100
- hkl 1 1 1, 2θ = 39.80°, rel. 93
- hkl 0 2 0, 2θ = 35.70°, rel. 81
- hkl 0 1 -3, 2θ = 39.09°, rel. 40
- hkl 0 1 3, 2θ = 40.64°, rel. 36
- hkl 1 0 -2, 2θ = 34.96°, rel. 35
- hkl 0 0 3, 2θ = 35.47°, rel. 28
- hkl -2 2 1, 2θ = 73.98°, rel. 20